1.
This entry pairs a crystal structure of Tm2Cd5Pd with its computed XRD peak list. Radiation: copper Kα. Structure: a PBE-relaxed structure.

Structure:
```
data_Tm2Cd5Pd
_chemical_formula_sum 'Tm6 Cd15 Pd3'
_symmetry_space_group_name_H-M 'R -3 m'
_symmetry_Int_Tables_number 166
_symmetry_space_group_name_Hall '-R 3 2"'
_cell_length_a 4.8186
_cell_length_b 4.8186
_cell_length_c 29.4520
_cell_angle_alpha 90.00
_cell_angle_beta 90.00
_cell_angle_gamma 120.00
loop_
_atom_site_label
_atom_site_fract_x
_atom_site_fract_y
_atom_site_fract_z
_atom_site_occupancy
Tm1 0.0000 0.0000 0.0888 1
Cd1 0.0000 0.0000 0.2004 1
Cd2 0.0000 0.0000 0.3536 1
Cd3 0.0000 0.0000 0.5000 1
Pd1 0.0000 0.0000 0.0000 1
```

Peak list (10 most intense, 2θ from 15° to 90°, by angle)
d 4.132, 21.51 deg, I = 14.1, hkl 1 0 1; d 2.963, 30.16 deg, I = 61.6, hkl 1 0 7; d 2.409, 37.33 deg, I = 100.0, hkl 1 1 0; d 2.253, 40.01 deg, I = 20.9, hkl 0 1 11; d 1.879, 48.46 deg, I = 10.4, hkl 0 1 14; d 1.869, 48.71 deg, I = 16.0, hkl 0 2 7; d 1.477, 62.93 deg, I = 14.4, hkl 2 1 7; d 1.391, 67.32 deg, I = 20.3, hkl 3 0 0; d 1.359, 69.12 deg, I = 8.2, hkl 1 2 11; d 1.205, 79.58 deg, I = 8.7, hkl 2 2 0

2.
This entry pairs a crystal structure of TmCd4Pd15 with its computed XRD peak list. Radiation: copper Kα. Structure: a PBE-relaxed structure.

Structure:
```
data_TmCd4Pd15
_chemical_formula_sum 'Tm1 Cd4 Pd15'
_symmetry_space_group_name_H-M 'P 4/m m m'
_symmetry_Int_Tables_number 123
_symmetry_space_group_name_Hall '-P 4 2'
_cell_length_a 4.0478
_cell_length_b 4.0478
_cell_length_c 20.1833
_cell_angle_alpha 90.00
_cell_angle_beta 90.00
_cell_angle_gamma 90.00
loop_
_atom_site_label
_atom_site_fract_x
_atom_site_fract_y
_atom_site_fract_z
_atom_site_occupancy
Tm1 0.0000 0.0000 0.0000 1
Cd1 0.0000 0.0000 0.2029 1
Cd2 0.0000 0.0000 0.4009 1
Pd1 0.0000 0.5000 0.1023 1
Pd2 0.0000 0.5000 0.3021 1
Pd3 0.0000 0.5000 0.5000 1
Pd4 0.5000 0.5000 0.0000 1
Pd5 0.5000 0.5000 0.2020 1
Pd6 0.5000 0.5000 0.4014 1
```

Peak list (8 most intense, 2θ from 15° to 90°, by angle)
d 2.335, 38.56 deg, I = 100.0, hkl 1 1 5; d 2.024, 44.78 deg, I = 32.6, hkl 2 0 0; d 2.018, 44.91 deg, I = 15.9, hkl 0 0 10; d 1.431, 65.19 deg, I = 10.3, hkl 2 2 0; d 1.429, 65.29 deg, I = 20.3, hkl 2 0 10; d 1.220, 78.37 deg, I = 24.1, hkl 3 1 5; d 1.218, 78.56 deg, I = 11.7, hkl 1 1 15; d 1.167, 82.65 deg, I = 10.4, hkl 2 2 10

3.
This entry pairs a crystal structure of Tm2Cd3Pd8 with its computed XRD peak list. Radiation: copper Kα. Structure: a PBE-relaxed structure.

Structure:
```
data_Tm2Cd3Pd8
_chemical_formula_sum 'Tm6 Cd9 Pd24'
_symmetry_space_group_name_H-M 'R -3 m'
_symmetry_Int_Tables_number 166
_symmetry_space_group_name_Hall '-R 3 2"'
_cell_length_a 5.3485
_cell_length_b 5.3485
_cell_length_c 30.4127
_cell_angle_alpha 90.00
_cell_angle_beta 90.00
_cell_angle_gamma 120.00
loop_
_atom_site_label
_atom_site_fract_x
_atom_site_fract_y
_atom_site_fract_z
_atom_site_occupancy
Tm1 0.0000 0.0000 0.1330 1
Cd1 0.0000 0.0000 0.3129 1
Cd2 0.0000 0.0000 0.5000 1
Pd1 0.0000 0.0000 0.2221 1
Pd2 0.0031 0.5015 0.2732 1
```

Peak list (10 most intense, 2θ from 15° to 90°, by angle)
d 2.674, 33.51 deg, I = 56.1, hkl 1 1 0; d 2.586, 34.69 deg, I = 30.6, hkl 1 1 3; d 2.374, 37.90 deg, I = 100.0, hkl 0 1 11; d 2.365, 38.04 deg, I = 29.0, hkl 1 1 6; d 2.290, 39.35 deg, I = 63.8, hkl 2 0 2; d 2.164, 41.73 deg, I = 38.2, hkl 2 0 5; d 2.097, 43.14 deg, I = 31.6, hkl 1 1 9; d 2.044, 44.32 deg, I = 21.5, hkl 0 2 7; d 1.479, 62.83 deg, I = 44.3, hkl 1 2 11; d 1.337, 70.42 deg, I = 32.3, hkl 2 2 0

4.
This entry pairs a crystal structure of Tm2Zn2CdPd5 with its computed XRD peak list. Radiation: copper Kα. Structure: a PBE-relaxed structure.

Structure:
```
data_Tm2Zn2CdPd5
_chemical_formula_sum 'Tm4 Zn4 Cd2 Pd10'
_symmetry_space_group_name_H-M 'P 4/m b m'
_symmetry_Int_Tables_number 127
_symmetry_space_group_name_Hall '-P 4 2ab'
_cell_length_a 9.6631
_cell_length_b 9.6631
_cell_length_c 3.8070
_cell_angle_alpha 90.00
_cell_angle_beta 90.00
_cell_angle_gamma 90.00
loop_
_atom_site_label
_atom_site_fract_x
_atom_site_fract_y
_atom_site_fract_z
_atom_site_occupancy
Tm1 0.1767 0.3233 0.0000 1
Zn1 0.1198 0.6198 0.0000 1
Cd1 0.0000 0.0000 0.0000 1
Pd1 0.0000 0.5000 0.5000 1
Pd2 0.0720 0.7937 0.5000 1
```

Peak list (10 most intense, 2θ from 15° to 90°, by angle)
d 2.857, 31.31 deg, I = 33.8, hkl 2 1 1; d 2.543, 35.30 deg, I = 24.1, hkl 2 2 1; d 2.383, 37.75 deg, I = 100.0, hkl 3 1 1; d 2.344, 38.41 deg, I = 51.6, hkl 4 1 0; d 2.278, 39.57 deg, I = 13.4, hkl 3 3 0; d 2.191, 41.19 deg, I = 36.4, hkl 3 2 1; d 2.161, 41.81 deg, I = 16.2, hkl 4 2 0; d 1.904, 47.78 deg, I = 25.4, hkl 0 0 2; d 1.478, 62.90 deg, I = 24.0, hkl 4 1 2; d 1.172, 82.27 deg, I = 13.9, hkl 3 1 3

5.
This entry pairs a crystal structure of UCdPd5 with its computed XRD peak list. Radiation: copper Kα. Structure: a PBE-relaxed structure.

Structure:
```
data_UCdPd5
_chemical_formula_sum 'U2 Cd2 Pd10'
_symmetry_space_group_name_H-M 'C m m m'
_symmetry_Int_Tables_number 65
_symmetry_space_group_name_Hall '-C 2 2'
_cell_length_a 5.7175
_cell_length_b 7.9413
_cell_length_c 5.7627
_cell_angle_alpha 90.00
_cell_angle_beta 90.00
_cell_angle_gamma 90.00
loop_
_atom_site_label
_atom_site_fract_x
_atom_site_fract_y
_atom_site_fract_z
_atom_site_occupancy
U1 0.0000 0.0000 0.0000 1
Cd1 0.0000 0.5000 0.5000 1
Pd1 0.0000 0.5000 0.0000 1
Pd2 0.2500 0.2500 0.2548 1
```

Peak list (10 most intense, 2θ from 15° to 90°, by angle)
d 5.763, 15.38 deg, I = 25.9, hkl 0 0 1; d 3.614, 24.63 deg, I = 44.2, hkl 1 1 1; d 3.270, 27.28 deg, I = 17.4, hkl 0 2 1; d 2.332, 38.61 deg, I = 100.0, hkl 0 2 2; d 2.320, 38.82 deg, I = 98.7, hkl 2 2 0; d 2.029, 44.65 deg, I = 66.0, hkl 2 0 2; d 1.985, 45.70 deg, I = 30.9, hkl 0 4 0; d 1.419, 65.81 deg, I = 41.1, hkl 2 4 2; d 1.224, 78.08 deg, I = 25.2, hkl 2 2 4; d 1.219, 78.48 deg, I = 25.0, hkl 4 2 2

6.
This entry pairs a crystal structure of Cd3Pd12W with its computed XRD peak list. Radiation: copper Kα. Structure: a PBE-relaxed structure.

Structure:
```
data_Cd3Pd12W
_chemical_formula_sum 'Cd3 Pd12 W1'
_symmetry_space_group_name_H-M 'P 4/m m m'
_symmetry_Int_Tables_number 123
_symmetry_space_group_name_Hall '-P 4 2'
_cell_length_a 3.9810
_cell_length_b 3.9810
_cell_length_c 16.2421
_cell_angle_alpha 90.00
_cell_angle_beta 90.00
_cell_angle_gamma 90.00
loop_
_atom_site_label
_atom_site_fract_x
_atom_site_fract_y
_atom_site_fract_z
_atom_site_occupancy
Cd1 0.0000 0.0000 0.0000 1
Cd2 0.0000 0.0000 0.2517 1
Pd1 0.0000 0.5000 0.1269 1
Pd2 0.0000 0.5000 0.3850 1
Pd3 0.5000 0.5000 0.0000 1
Pd4 0.5000 0.5000 0.2567 1
Pd5 0.5000 0.5000 0.5000 1
W1 0.0000 0.0000 0.5000 1
```

Peak list (10 most intense, 2θ from 15° to 90°, by angle)
d 2.313, 38.93 deg, I = 100.0, hkl 1 1 4; d 2.127, 42.49 deg, I = 1.2, hkl 1 1 5; d 2.030, 44.63 deg, I = 15.9, hkl 0 0 8; d 1.991, 45.57 deg, I = 32.3, hkl 2 0 0; d 1.421, 65.69 deg, I = 19.6, hkl 2 0 8; d 1.407, 66.42 deg, I = 10.3, hkl 2 2 0; d 1.220, 78.39 deg, I = 10.6, hkl 1 1 12; d 1.202, 79.75 deg, I = 23.9, hkl 3 1 4; d 1.157, 83.59 deg, I = 10.0, hkl 2 2 8; d 1.142, 84.94 deg, I = 0.8, hkl 1 1 13